Record 1
Theoretical powder diffractogram
Compound: NiH6C2S2N4
Radiation: a wavelength of 1.5418 Å
Structure: a cell relaxed with PBE
No peak broadening, texture or thermal motion is included.

Structure:
```
NiH6C2S2N4
1.0
4.3221 -3.8872 0.0000
4.3221 3.8872 0.0000
-0.9176 0.0000 5.5903
Ni H C S N
1 6 2 2 4
Direct
0.0000 0.0000 0.0000 Ni
0.1844 0.5894 0.9736 H
0.3510 0.7574 0.8656 H
0.3521 0.7618 0.1609 H
0.5894 0.1844 0.9736 H
0.7574 0.3510 0.8656 H
0.7618 0.3521 0.1609 H
0.1968 0.1968 0.6104 C
0.8050 0.8050 0.3930 C
0.2765 0.2765 0.3737 S
0.7231 0.7231 0.6302 S
0.1433 0.1433 0.7924 N
0.2496 0.7486 0.9999 N
0.7486 0.2496 0.9999 N
0.8632 0.8632 0.2175 N
```

The 8 most intense peaks (2θ = 10–80°), low angle first:
2θ 15.42, d 5.746, rel. 100; 2θ 20.93, d 4.245, rel. 53; 2θ 22.88, d 3.887, rel. 72; 2θ 23.38, d 3.805, rel. 20; 2θ 24.11, d 3.691, rel. 30; 2θ 28.30, d 3.153, rel. 79; 2θ 36.70, d 2.449, rel. 36; 2θ 37.28, d 2.412, rel. 20

Record 2
Theoretical powder diffractogram
Compound: NiH12C2S2N6
Radiation: a wavelength of 1.5418 Å
Structure: a cell relaxed with PBE
No peak broadening, texture or thermal motion is included.

Structure:
```
NiH12C2S2N6
1.0
5.7788 -4.1340 0.0000
5.7788 4.1340 0.0000
-1.5434 0.0000 5.5095
Ni H C S N
1 12 2 2 6
Direct
0.0000 0.0000 0.0000 Ni
0.0034 0.7146 0.2505 H
0.1309 0.6084 0.0233 H
0.2379 0.7211 0.2755 H
0.2789 0.7621 0.7245 H
0.2854 0.9966 0.7495 H
0.3916 0.8691 0.9767 H
0.6084 0.1309 0.0233 H
0.7146 0.0034 0.2505 H
0.7211 0.2379 0.2755 H
0.7621 0.2789 0.7245 H
0.8691 0.3916 0.9767 H
0.9966 0.2854 0.7495 H
0.2361 0.2361 0.4530 C
0.7639 0.7639 0.5470 C
0.3562 0.3562 0.6828 S
0.6438 0.6438 0.3172 S
0.1044 0.7305 0.1587 N
0.1468 0.1468 0.2915 N
0.2695 0.8956 0.8413 N
0.7305 0.1044 0.1587 N
0.8532 0.8532 0.7085 N
0.8956 0.2695 0.8413 N
```

The 8 most intense peaks (2θ = 10–80°), low angle first:
2θ 13.34, d 6.637, rel. 65; 2θ 19.21, d 4.620, rel. 19; 2θ 19.37, d 4.581, rel. 73; 2θ 21.50, d 4.134, rel. 43; 2θ 22.57, d 3.939, rel. 64; 2θ 26.33, d 3.385, rel. 25; 2θ 29.09, d 3.069, rel. 100; 2θ 45.26, d 2.004, rel. 25